Record 1
The following is a theoretical XRD peak list of ZnSeO5. It was derived from the PBE geometry in the Materials Project, using Cu Kα.
Intensities are scaled so that the largest is 100.

Main lines, by intensity (10 to 80 degrees two-theta):
2θ/deg	I_rel
13.4	100
23.3	72
29.8	42
31.0	40
34.2	30
20.4	22
30.1	21
28.5	20

Structural model:
```
28
Lattice="5.220 0.000 0.000 0.000 9.504 0.000 -3.458 0.000 9.220" Properties=species:S:1:pos:R:3 pbc="T T T"
Zn -1.123 1.281 3.937
Zn -2.853 3.471 8.547
Zn 4.614 6.034 0.673
Zn 2.885 8.223 5.283
Se -1.245 6.319 7.894
Se 0.484 7.938 3.284
Se 1.277 1.567 5.936
Se 3.006 3.186 1.326
O -0.013 0.587 0.179
O -1.742 4.165 4.789
O -2.689 5.534 8.485
O -0.960 8.723 3.875
O -0.054 6.593 2.446
O -1.783 7.664 7.056
O 0.500 2.183 4.567
O -1.229 2.569 9.177
O -0.367 5.204 7.096
O 1.363 9.052 2.486
O 0.399 0.452 6.734
O 2.128 4.300 2.124
O 2.990 6.935 0.043
O 1.261 7.322 4.653
O 3.544 1.841 2.163
O 1.815 2.911 6.773
O 2.721 0.781 5.345
O 4.450 3.971 0.735
O 3.504 5.339 4.431
O 1.774 8.917 9.041
```


Record 2
The following is a theoretical XRD peak list of Ag4TeO5. It was derived from the PBE geometry in the Materials Project, using Cu Kα.
Intensities are scaled so that the largest is 100.

Main lines, by intensity (10 to 80 degrees two-theta):
2θ/deg	I_rel
34.7	100
32.3	36
32.6	34
39.3	25
29.4	23
51.5	22
31.7	21
62.1	20

Structural model:
```
40
Lattice="8.231 -3.157 0.000 8.231 3.157 0.000 -3.264 0.000 11.086" Properties=species:S:1:pos:R:3 pbc="T T T"
Ag 4.116 1.579 0.000
Ag 5.783 2.686 8.315
Ag 2.499 0.650 2.557
Ag 4.029 1.680 10.866
Ag 5.914 0.781 2.778
Ag 7.537 1.680 5.764
Ag 0.867 -0.650 8.100
Ag 8.917 0.781 2.766
Ag 2.484 -1.579 5.543
Ag 4.282 -0.781 8.321
Ag 12.332 0.650 2.986
Ag 5.661 -1.680 5.323
Ag 7.285 -0.781 8.309
Ag 9.169 -1.680 0.221
Ag 10.700 -0.650 8.529
Ag 7.415 -2.686 2.772
Te 4.097 1.414 5.596
Te 7.470 1.414 11.034
Te 5.729 -1.414 0.053
Te 9.102 -1.414 5.491
O 5.433 2.210 4.421
O 0.756 0.182 4.323
O 2.375 0.813 6.584
O -0.876 -0.182 9.866
O 9.398 2.210 1.122
O 2.288 0.123 9.931
O 3.920 -0.123 4.388
O 5.274 0.402 6.746
O 4.007 -0.813 1.041
O 6.293 0.402 9.883
O 6.906 -0.402 1.203
O 9.192 0.813 10.045
O 7.925 -0.402 4.340
O 9.279 0.123 6.698
O 10.911 -0.123 1.155
O 3.801 -2.210 9.964
O 14.075 0.182 1.220
O 10.824 -0.813 4.502
O 12.443 -0.182 6.763
O 7.766 -2.210 6.665
```


Record 3
The following is a theoretical XRD peak list of SrAlF5. It was derived from the PBE geometry in the Materials Project, using Cu Kα.
Intensities are scaled so that the largest is 100.

Main lines, by intensity (10 to 80 degrees two-theta):
2θ/deg	I_rel
28.4	100
24.6	50
27.7	46
25.5	44
24.7	40
44.0	39
45.7	36
52.4	32

Structural model:
```
56
Lattice="-7.200 7.200 3.616 7.200 -7.200 3.616 7.200 7.200 -3.616" Properties=species:S:1:pos:R:3 pbc="T T T"
Sr 3.236 0.740 0.000
Sr 6.460 -3.964 3.616
Sr 6.203 3.643 0.000
Sr 3.557 -0.997 3.616
Sr 3.643 8.197 0.000
Sr 0.997 3.557 3.616
Sr 0.740 11.164 0.000
Sr 3.964 6.460 3.616
Al 7.200 0.000 0.003
Al 9.586 2.616 0.007
Al 0.000 0.000 1.773
Al 2.616 4.814 0.007
Al 0.000 7.200 0.003
Al 4.584 2.386 3.623
Al 0.000 0.000 5.353
Al -2.386 4.584 3.623
F 5.641 0.942 0.006
F 4.174 -1.462 1.259
F 8.721 3.650 -1.240
F 7.985 1.631 -0.003
F 6.640 5.477 -1.905
F 8.665 -3.044 2.376
F 1.723 -0.560 1.712
F 3.650 5.679 -1.240
F 3.677 3.345 0.013
F 7.200 0.000 1.811
F 3.854 -3.523 3.630
F 5.477 7.760 -1.905
F 10.225 1.462 1.259
F 0.560 1.723 1.712
F 6.258 -1.559 3.622
F 8.713 3.638 1.256
F 3.550 1.521 2.376
F 1.631 6.415 -0.003
F 1.462 4.174 1.259
F 0.000 0.000 3.561
F 5.735 3.044 2.376
F 5.569 0.785 3.613
F 3.638 5.686 1.256
F -1.521 3.550 2.376
F 0.942 8.759 0.006
F 6.654 5.473 1.796
F 1.727 -0.546 5.412
F -3.044 5.735 2.376
F 3.345 10.723 0.013
F 0.000 7.200 1.811
F 3.523 3.854 3.630
F 3.562 1.513 4.872
F 5.473 7.745 1.796
F 0.546 1.727 5.412
F -1.462 10.225 1.259
F -0.785 5.569 3.613
F -1.513 3.562 4.872
F 3.044 8.665 2.376
F 1.559 6.258 3.622
F 0.000 0.000 7.179
```


Record 4
The following is a theoretical XRD peak list of Sr2HgPb. It was derived from the PBE geometry in the Materials Project, using Cu Kα.
Intensities are scaled so that the largest is 100.

Main lines, by intensity (10 to 80 degrees two-theta):
2θ/deg	I_rel
30.9	100
55.0	40
44.3	19
21.7	18
73.2	17
64.5	12
49.9	9
38.1	6

Structural model:
```
16
Lattice="8.173 0.000 0.000 0.000 8.173 0.000 0.000 0.000 8.173" Properties=species:S:1:pos:R:3 pbc="T T T"
Sr 2.043 2.043 2.043
Sr 2.043 2.043 6.130
Sr 2.043 6.130 2.043
Sr 2.043 6.130 6.130
Sr 6.130 2.043 2.043
Sr 6.130 2.043 6.130
Sr 6.130 6.130 2.043
Sr 6.130 6.130 6.130
Hg 0.000 0.000 0.000
Hg 0.000 4.087 4.087
Hg 4.087 0.000 4.087
Hg 4.087 4.087 0.000
Pb 0.000 0.000 4.087
Pb 0.000 4.087 0.000
Pb 4.087 0.000 0.000
Pb 4.087 4.087 4.087
```


Record 5
The following is a theoretical XRD peak list of BaLiYCu2O5. It was derived from the PBE geometry in the Materials Project, using Cu Kα.
Intensities are scaled so that the largest is 100.

Main lines, by intensity (10 to 80 degrees two-theta):
2θ/deg	I_rel
35.7	100
29.3	67
32.9	59
60.6	46
47.2	41
17.8	25
57.2	24
24.8	21

Structural model:
```
10
Lattice="3.849 0.000 0.000 0.000 3.849 0.000 0.000 0.000 9.979" Properties=species:S:1:pos:R:3 pbc="T T T"
Ba 0.000 0.000 0.000
Li 0.000 0.000 6.315
Y 0.000 0.000 3.674
Cu 1.925 1.925 1.941
Cu 1.925 1.925 5.574
O 0.000 1.925 2.412
O 0.000 1.925 5.420
O 1.925 0.000 2.412
O 1.925 0.000 5.420
O 1.925 1.925 9.754
```


Record 6
The following is a theoretical XRD peak list of Nd3Cu3Bi4. It was derived from the PBE geometry in the Materials Project, using Cu Kα.
Intensities are scaled so that the largest is 100.

Main lines, by intensity (10 to 80 degrees two-theta):
2θ/deg	I_rel
33.7	100
28.4	59
44.6	23
46.5	21
40.5	18
57.0	18
58.7	15
60.2	12

Structural model:
```
20
Lattice="-4.977 4.977 4.977 4.977 -4.977 4.977 4.977 4.977 -4.977" Properties=species:S:1:pos:R:3 pbc="T T T"
Nd 4.977 -2.489 3.733
Nd 3.733 4.977 -2.489
Nd 4.977 2.489 1.244
Nd 2.489 1.244 4.977
Nd 1.244 4.977 2.489
Nd -2.489 3.733 4.977
Cu 7.466 1.244 0.000
Cu 3.733 0.000 2.489
Cu 2.489 3.733 0.000
Cu 0.000 2.489 3.733
Cu 1.244 0.000 7.466
Cu 0.000 7.466 1.244
Bi 3.295 1.683 -1.683
Bi 5.783 -0.806 0.806
Bi 1.683 -1.683 3.295
Bi 1.683 1.683 1.683
Bi -1.683 3.295 1.683
Bi 0.806 5.783 -0.806
Bi -0.806 0.806 5.783
Bi 4.172 4.172 4.172
```


Record 7
The following is a theoretical XRD peak list of Si. It was derived from the PBE geometry in the Materials Project, using Cu Kα.
Intensities are scaled so that the largest is 100.

Main lines, by intensity (10 to 80 degrees two-theta):
2θ/deg	I_rel
37.4	100
38.8	90
55.0	62
53.9	33
77.3	23
68.4	16
79.7	11

Structural model:
```
4
Lattice="4.811 0.000 0.000 0.000 4.811 0.000 0.000 0.000 2.650" Properties=species:S:1:pos:R:3 pbc="T T T"
Si 0.000 1.203 0.994
Si 0.000 3.608 1.656
Si 2.406 1.203 0.331
Si 2.406 3.608 2.319
```


Record 8
The following is a theoretical XRD peak list of Cs2MgCl4. It was derived from the PBE geometry in the Materials Project, using Cu Kα.
Intensities are scaled so that the largest is 100.

Main lines, by intensity (10 to 80 degrees two-theta):
2θ/deg	I_rel
19.6	100
23.2	87
30.2	82
22.9	79
27.7	78
28.2	61
22.3	52
35.6	40

Structural model:
```
28
Lattice="9.951 0.000 0.000 0.000 7.662 0.000 0.000 0.000 13.537" Properties=species:S:1:pos:R:3 pbc="T T T"
Cs 0.178 1.915 2.448
Cs 1.377 5.746 5.512
Cs 3.598 1.915 12.281
Cs 4.797 5.746 9.217
Cs 5.154 1.915 4.320
Cs 6.353 5.746 1.256
Cs 8.574 1.915 8.025
Cs 9.773 5.746 11.089
Mg 2.279 5.746 1.044
Mg 2.697 1.915 7.813
Mg 7.254 5.746 5.725
Mg 7.673 1.915 12.493
Cl 0.053 1.915 12.341
Cl 1.799 0.020 8.848
Cl 1.799 3.811 8.848
Cl 1.859 1.915 5.616
Cl 3.116 5.746 12.385
Cl 3.177 3.851 2.079
Cl 3.177 7.642 2.079
Cl 4.922 5.746 5.573
Cl 5.029 1.915 7.965
Cl 6.774 0.020 11.458
Cl 6.774 3.811 11.458
Cl 6.835 1.915 1.152
Cl 8.092 5.746 7.921
Cl 8.152 3.851 4.689
Cl 8.152 7.642 4.689
Cl 9.898 5.746 1.196
```


Record 9
The following is a theoretical XRD peak list of LiRe3. It was derived from the PBE geometry in the Materials Project, using Cu Kα.
Intensities are scaled so that the largest is 100.

Main lines, by intensity (10 to 80 degrees two-theta):
2θ/deg	I_rel
41.8	100
76.4	35
25.3	26
60.7	17
29.3	13
49.5	13
66.8	5
68.8	5

Structural model:
```
16
Lattice="6.106 0.000 0.000 0.000 6.106 0.000 0.000 0.000 6.106" Properties=species:S:1:pos:R:3 pbc="T T T"
Li 0.000 0.000 0.000
Li 0.000 3.053 3.053
Li 3.053 0.000 3.053
Li 3.053 3.053 0.000
Re 0.000 0.000 3.053
Re 0.000 3.053 0.000
Re 1.526 1.526 1.526
Re 1.526 1.526 4.579
Re 1.526 4.579 1.526
Re 1.526 4.579 4.579
Re 3.053 0.000 0.000
Re 3.053 3.053 3.053
Re 4.579 1.526 1.526
Re 4.579 1.526 4.579
Re 4.579 4.579 1.526
Re 4.579 4.579 4.579
```